Entry 1:
Diffraction record for BiIrCl3. The X-ray diffraction stick pattern is simulated, not measured: it uses a DFT-relaxed cell (GGA-PBE, Alexandria) and Cu Kα, 1.54184 Å.
Lines closer than 0.1° are merged.

Structure:
Cell lengths 4.843, 4.843, 4.843 Å; angles 90.00, 90.00, 90.00 degrees
Sites, in units of the cell vectors:
Bi: 0.000 0.000 0.000
Ir: 0.500 0.500 0.500
Cl: 0.000 0.500 0.500
Cl: 0.500 0.000 0.500
Cl: 0.500 0.500 0.000

Peak list (12 most intense, 15 to 90 degrees two-theta, in order of rising 2θ)
26.02°, rel. 1000
32.01°, rel. 50
37.13°, rel. 394
45.90°, rel. 459
53.52°, rel. 271
60.45°, rel. 208
63.73°, rel. 17
66.93°, rel. 92
73.11°, rel. 241
79.10°, rel. 44
84.96°, rel. 126
87.87°, rel. 8

Entry 2:
Diffraction record for LaNd8Dy5. The X-ray diffraction stick pattern is simulated, not measured: it uses a DFT-relaxed cell (GGA-PBE, Alexandria) and Cu Kα, 1.54184 Å.
Lines closer than 0.1° are merged.

Structure:
Cell lengths 8.579, 8.579, 9.102 Å; angles 120.87, 120.87, 82.07 degrees
Sites, in units of the cell vectors:
La: 0.000 0.000 0.000
Nd: 0.144 0.704 0.703
Nd: 0.296 0.856 0.297
Nd: 0.348 0.343 0.945
Nd: 0.509 0.110 0.233
Nd: 0.657 0.652 0.055
Nd: 0.709 0.144 0.711
Nd: 0.856 0.291 0.289
Nd: 0.890 0.491 0.767
Dy: 0.004 0.996 0.500
Dy: 0.116 0.509 0.240
Dy: 0.341 0.339 0.545
Dy: 0.491 0.884 0.760
Dy: 0.661 0.659 0.455

Peak list (12 most intense, 15 to 90 degrees two-theta, in order of rising 2θ)
23.33°, rel. 131
25.67°, rel. 190
29.33°, rel. 348
30.21°, rel. 142
30.67°, rel. 105
31.18°, rel. 1000
31.77°, rel. 425
32.51°, rel. 474
34.23°, rel. 268
41.30°, rel. 93
49.68°, rel. 158
58.23°, rel. 130

Entry 3:
Diffraction record for Cs2KCd2. The X-ray diffraction stick pattern is simulated, not measured: it uses a DFT-relaxed cell (GGA-PBE, Alexandria) and Cu Kα, 1.54184 Å.
Lines closer than 0.1° are merged.

Structure:
Cell lengths 7.887, 7.887, 7.887 Å; angles 138.44, 117.61, 77.78 degrees
Sites, in units of the cell vectors:
Cs: 0.205 0.205 0.000
Cs: 0.795 0.795 0.000
K: 0.500 0.000 0.500
Cd: 0.186 0.500 0.686
Cd: 0.814 0.500 0.314

Peak list (12 most intense, 15 to 90 degrees two-theta, in order of rising 2θ)
24.12°, rel. 1000
26.20°, rel. 374
26.99°, rel. 444
28.00°, rel. 413
29.09°, rel. 185
31.98°, rel. 275
36.70°, rel. 252
39.76°, rel. 214
41.80°, rel. 213
46.08°, rel. 285
51.90°, rel. 192
60.97°, rel. 128